For Cs6AuO, a PBE-relaxed structure gives the calculated PXRD pattern in this record (Cu Ka).
Lines closer than 0.1° are merged.

Principal peaks in the range 2θ = 5–70°, in order of falling intensity:
| two_theta | intensity | (hkl) |
| --- | --- | --- |
| 11.86 | 100 | 1 1 0 |
| 34.41 | 65 | 4 0 -2 |
| 29.78 | 63 | 2 4 -1 |
| 27.26 | 59 | 3 1 -2 |
| 21.02 | 56 | 1 3 -1 |
| 20.91 | 52 | 2 2 -1 |
| 20.53 | 46 | 1 1 1 |
| 12.05 | 45 | 0 2 0 |
| 29.08 | 35 | 2 0 1 |
| 26.95 | 31 | 0 2 2 |

Structural model:
```
data_Cs6AuO
_cell_length_a 10.418
_cell_length_b 14.685
_cell_length_c 8.910
_cell_angle_alpha 90.00
_cell_angle_beta 123.72
_cell_angle_gamma 90.00
_symmetry_space_group_name_H-M 'C 1 2/m 1'
_symmetry_Int_Tables_number 12
loop_
_symmetry_equiv_pos_as_xyz
'x,y,z'
'-x,-y,-z'
'-x,y,-z'
'x,-y,z'
'x+1/2,y+1/2,z'
'-x+1/2,-y+1/2,-z'
'-x+1/2,y+1/2,-z'
'x+1/2,-y+1/2,z'
loop_
_atom_site_label
_atom_site_type_symbol
_atom_site_fract_x
_atom_site_fract_y
_atom_site_fract_z
Cs1 Cs 0.138 0.140 0.284
Cs2 Cs 0.226 0.500 0.018
Au1 Au 0.000 0.000 0.500
O1 O 0.000 0.000 0.000
```



For Pm2Nd2Mg3, a PBE-relaxed structure gives the calculated PXRD pattern in this record (Cu Ka).
Lines closer than 0.1° are merged.

Principal peaks in the range 2θ = 5–70°, in order of falling intensity:
| two_theta | intensity | (hkl) |
| --- | --- | --- |
| 31.72 | 100 | 1 7 0 |
| 32.89 | 82 | 1 1 1 |
| 23.31 | 75 | 0 0 1 |
| 34.49 | 70 | 0 8 1 |
| 39.73 | 62 | 1 7 1 |
| 22.88 | 52 | 1 1 0 |
| 25.07 | 45 | 0 8 0 |
| 59.33 | 38 | 1 15 1 |
| 58.38 | 36 | 1 7 2 |
| 58.98 | 30 | 2 8 1 |

Structural model:
```
data_Pm2Nd2Mg3
_cell_length_a 3.923
_cell_length_b 28.422
_cell_length_c 3.817
_cell_angle_alpha 90.00
_cell_angle_beta 90.00
_cell_angle_gamma 90.00
_symmetry_space_group_name_H-M 'C m m m'
_symmetry_Int_Tables_number 65
_symmetry_space_group_name_Hall '-C 2 2'
loop_
_atom_site_label
_atom_site_type_symbol
_atom_site_fract_x
_atom_site_fract_y
_atom_site_fract_z
Pm1 Pm 0.000 0.201 0.000
Nd1 Nd 0.000 0.069 0.000
Mg1 Mg 0.000 0.364 0.500
Mg2 Mg 0.000 0.500 0.500
```



For NaSb3Pd, a PBE-relaxed structure gives the calculated PXRD pattern in this record (Cu Ka).
Lines closer than 0.1° are merged.

Principal peaks in the range 2θ = 5–70°, in order of falling intensity:
| two_theta | intensity | (hkl) |
| --- | --- | --- |
| 32.95 | 100 | 2 1 1 |
| 24.23 | 36 | 1 1 1 |
| 41.88 | 31 | 0 2 2 |
| 20.59 | 21 | 0 1 1 |
| 46.83 | 20 | 0 1 3 |
| 39.02 | 19 | 2 0 2 |
| 52.26 | 18 | 4 0 0 |
| 19.23 | 16 | 1 0 1 |
| 39.31 | 16 | 2 2 0 |
| 19.36 | 14 | 1 1 0 |

Structural model:
```
data_NaSb3Pd
_cell_length_a 7.002
_cell_length_b 6.065
_cell_length_c 6.139
_cell_angle_alpha 90.00
_cell_angle_beta 90.00
_cell_angle_gamma 90.00
_symmetry_space_group_name_H-M 'P m n 21'
_symmetry_Int_Tables_number 31
loop_
_symmetry_equiv_pos_as_xyz
'x,y,z'
'-x+1/2,-y,z+1/2'
'-x,y,z'
'x+1/2,-y,z+1/2'
loop_
_atom_site_label
_atom_site_type_symbol
_atom_site_fract_x
_atom_site_fract_y
_atom_site_fract_z
Na1 Na 0.000 0.201 0.000
Sb1 Sb 0.000 0.888 0.598
Sb2 Sb 0.248 0.291 0.481
Pd1 Pd 0.000 0.576 0.289
```